Starting from a cell relaxed with PBE+U, the X-ray powder pattern of Ba2CuWO6 was computed for Cu Kα X-rays.
Kinematic intensities with the Lorentz-polarization factor, no thermal factor.

```
data_Ba2CuWO6
_symmetry_space_group_name_H-M 'R -3 m'
_symmetry_Int_Tables_number 166
_symmetry_space_group_name_Hall '-R 3 2"'
_cell_length_a 5.8877
_cell_length_b 5.8877
_cell_length_c 28.8817
_cell_angle_alpha 90.00
_cell_angle_beta 90.00
_cell_angle_gamma 120.00
loop_
_atom_site_label
_atom_site_fract_x
_atom_site_fract_y
_atom_site_fract_z
Ba1 0.0000 0.0000 0.1269
Ba2 0.0000 0.0000 0.2823
Cu1 0.0000 0.0000 0.4045
W1 0.0000 0.0000 0.0000
W2 0.0000 0.0000 0.5000
O1 0.0199 0.5100 0.7057
O2 0.0224 0.5112 0.1267
```

Most intense lines, 10° ≤ 2θ ≤ 90°, by intensity:
| 2θ/deg | I/Imax | index |
| --- | --- | --- |
| 30.35 | 100 | 1 1 0 |
| 53.94 | 27 | 3 0 0 |
| 27.81 | 24 | 1 0 7 |
| 35.73 | 18 | 1 0 10 |
| 47.57 | 18 | 0 2 10 |
| 41.64 | 17 | 0 2 7 |
| 57.48 | 16 | 2 0 14 |
| 18.45 | 14 | 0 1 2 |
| 63.16 | 14 | 2 2 0 |
| 43.45 | 13 | 2 0 8 |